For B2Pb6WO12, the PBE+U geometry in Alexandria gives the computed PXRD pattern in this record (λ = 1.5418 Å (Cu Kα)).

The 10 most intense peaks (10 to 80 degrees two-theta), in order of rising 2θ:
| d (Å) | 2theta | Rel. int. |
| --- | --- | --- |
| 3.720 | 23.92 | 29.3 |
| 3.364 | 26.50 | 99.4 |
| 3.221 | 27.69 | 38.1 |
| 3.144 | 28.38 | 100.0 |
| 3.004 | 29.74 | 18.9 |
| 2.546 | 35.24 | 20.3 |
| 2.435 | 36.91 | 26.0 |
| 1.998 | 45.40 | 25.1 |
| 1.886 | 48.24 | 26.9 |
| 1.787 | 51.11 | 35.3 |

Crystal structure
Lattice parameters (Å, degrees): 18.8681 6.4424 12.1005 90.00 90.00 90.00
Space group Cmcm (No. 63)
Unique sites:
B 0.2460 0.0000 0.0000
Pb 0.1084 0.2594 0.0942
Pb 0.2091 0.1999 0.7500
W 0.0000 0.2246 0.7500
O 0.0000 0.0606 0.6279
O 0.0781 0.3935 0.7500
O 0.1520 0.1310 0.2500
O 0.1715 0.0000 0.0000
O 0.2181 0.4444 0.0953